1.
This entry pairs a crystal structure of La7Pr2 with its simulated X-ray diffraction stick pattern. Radiation: Cu Kα (weighted mean of Kα1 and Kα2). Structure: a PBE-relaxed structure.
Peak positions follow from Bragg's law for the DFT cell and can differ from measured ones.

Structural model:
Unit cell a=6.4500 b=6.4500 c=9.0780 alpha=90.00 beta=90.00 gamma=120.00
Space group P-31m (No. 162)
Unique sites:
La  0.0000  0.0000  0.0000 x1
La  0.0000  0.3336  0.6655 x6
Pr  0.3333  0.6667  0.0000 x2

Peak list (8 most intense, 2θ = 10–90°, in order of rising 2θ)
two_theta  intensity  h k l
29.39  100  1 1 1
29.52  33  0 0 3
34.10  67  2 -1 2
48.92  24  3 0 0
49.08  24  1 1 4
58.15  43  3 0 3
58.32  14  2 -1 5
60.98  13  2 2 2

---

2.
This entry pairs a crystal structure of GaSiH with its simulated X-ray diffraction stick pattern. Radiation: Cu Kα (weighted mean of Kα1 and Kα2). Structure: a PBE-relaxed structure.
Peak positions follow from Bragg's law for the DFT cell and can differ from measured ones.

Structural model:
Unit cell a=15.554 b=4.661 c=5.269 alpha=90.00 beta=90.00 gamma=90.00
Space group Pbcn (No. 60)
Unique sites:
Ga  0.218  0.152  0.124 x8
Si  0.069  0.045  0.592 x8
H  0.075  0.368  0.586 x8

Peak list (8 most intense, 2θ = 10–90°, in order of rising 2θ)
two_theta  intensity  h k l
11.38  100  2 0 0
19.89  32  1 1 0
22.87  21  4 0 0
34.54  78  1 0 2
38.77  15  5 1 1
44.06  17  2 2 1
45.21  15  7 1 0
46.05  16  3 2 1

---

3.
This entry pairs a crystal structure of K2PmClO2 with its simulated X-ray diffraction stick pattern. Radiation: Cu Kα (weighted mean of Kα1 and Kα2). Structure: a PBE-relaxed structure.
Peak positions follow from Bragg's law for the DFT cell and can differ from measured ones.

Structural model:
Unit cell a=4.610 b=4.610 c=6.377 alpha=90.00 beta=90.00 gamma=90.00
Space group P4/mmm (No. 123)
Unique sites:
K  0.000  0.000  0.247 x2
Pm  0.500  0.500  0.000 x1
Cl  0.500  0.500  0.500 x1
O  0.000  0.500  0.000 x2

Peak list (8 most intense, 2θ = 10–90°, in order of rising 2θ)
two_theta  intensity  h k l
13.89  68  0 0 1
19.25  30  1 0 0
23.82  42  1 0 1
27.36  69  1 1 0
34.19  100  1 0 2
39.08  43  2 0 0
41.67  18  2 0 1
52.89  54  2 1 2